# 1
PuCdCu10: simulated PXRD pattern (Cu Kα (λ = 1.5418 Å)), based on a structure optimized by DFT (GGA-PBE).
Kinematic intensities with the Lorentz-polarization factor, no thermal factor.

The 8 most intense peaks (2θ from 10° to 90°), sorted by position:
h k l  2θ/deg  d (Å)  I (rel.)
1 1 1  30.08  2.971  81
0 1 3  35.98  2.496  32
0 2 2  41.66  2.168  36
1 2 0  42.31  2.136  51
1 1 3  42.44  2.130  100
2 0 0  44.37  2.041  41
1 3 3  68.92  1.362  23
3 2 0  80.32  1.195  22

Structural model:
Unit cell a=4.0830 b=5.0135 c=8.6357 alpha=90.00 beta=90.00 gamma=90.00
Sites, in units of the cell vectors:
Pu 0.0000 0.0000 0.0000
Cd 0.0000 0.5000 0.5000
Cu 0.0000 0.0000 0.3428
Cu 0.0000 0.0000 0.6572
Cu 0.0000 0.5000 0.1794
Cu 0.0000 0.5000 0.8206
Cu 0.5000 0.0000 0.5000
Cu 0.5000 0.2479 0.2501
Cu 0.5000 0.2479 0.7499
Cu 0.5000 0.5000 0.0000
Cu 0.5000 0.7521 0.2501
Cu 0.5000 0.7521 0.7499



# 2
GdEr2V: simulated PXRD pattern (Cu Kα (λ = 1.5418 Å)), based on a structure optimized by DFT (GGA-PBE).
Kinematic intensities with the Lorentz-polarization factor, no thermal factor.

The 8 most intense peaks (2θ from 10° to 90°), sorted by position:
h k l  2θ/deg  d (Å)  I (rel.)
1 0 1  26.98  3.305  31
0 0 3  31.65  2.827  17
1 0 2  32.69  2.739  100
1 1 0  35.37  2.537  52
1 1 3  48.19  1.888  21
2 0 0  50.89  1.794  18
1 0 5  60.36  1.534  15
2 1 2  61.81  1.501  32

Structural model:
Unit cell a=3.5885 b=3.5885 c=8.4815 alpha=90.00 beta=90.00 gamma=90.00
Sites, in units of the cell vectors:
Gd 0.0000 0.0000 0.0000
Er 0.5000 0.5000 0.3002
Er 0.5000 0.5000 0.6998
V 0.0000 0.0000 0.5000